No. 1
Diffraction record for K3Er3PuO8. The powder diffractogram is computed, not measured: it uses a GGA-PBE-relaxed structure and λ = 1.5418 Å (Cu Kα).
Kinematic intensities with the Lorentz-polarization factor, no thermal factor.

Cell and atoms:
```
data_K3Er3PuO8
_chemical_formula_sum 'K9 Er9 Pu3 O24'
_cell_length_a 6.8957
_cell_length_b 6.8957
_cell_length_c 18.9875
_cell_angle_alpha 90.00
_cell_angle_beta 90.00
_cell_angle_gamma 120.00
_symmetry_space_group_name_H-M 'R -3 m'
_symmetry_Int_Tables_number 166
_symmetry_space_group_name_Hall '-R 3 2"'
loop_
_atom_site_label
_atom_site_fract_x
_atom_site_fract_y
_atom_site_fract_z
K1 0.0000 0.5000 0.0000
Er1 0.0000 0.5000 0.5000
Pu1 0.0000 0.0000 0.5000
O1 0.0000 0.0000 0.2263
O2 0.0078 0.5039 0.2249
```

The 8 most intense peaks (2θ from 10° to 80°), most intense first:
2θ (°), I (rel.), (hkl)
13.99, 100, 0 0 3
35.52, 66, 0 2 4
31.41, 52, 2 0 2
30.30, 37, 0 2 1
28.20, 26, 0 0 6
49.03, 23, 2 0 8
53.13, 21, 2 2 0
45.16, 19, 0 2 7

***

No. 2
Diffraction record for K3Er3RuO8. The powder diffractogram is computed, not measured: it uses a GGA-PBE-relaxed structure and λ = 1.5418 Å (Cu Kα).
Kinematic intensities with the Lorentz-polarization factor, no thermal factor.

Cell and atoms:
```
data_K3Er3RuO8
_chemical_formula_sum 'K9 Er9 Ru3 O24'
_cell_length_a 6.6968
_cell_length_b 6.6968
_cell_length_c 18.8152
_cell_angle_alpha 90.00
_cell_angle_beta 90.00
_cell_angle_gamma 120.00
_symmetry_space_group_name_H-M 'R -3 m'
_symmetry_Int_Tables_number 166
_symmetry_space_group_name_Hall '-R 3 2"'
loop_
_atom_site_label
_atom_site_fract_x
_atom_site_fract_y
_atom_site_fract_z
K1 0.0000 0.5000 0.0000
Er1 0.0000 0.5000 0.5000
Ru1 0.0000 0.0000 0.5000
O1 0.0000 0.0000 0.2272
O2 0.0241 0.5120 0.2245
```

The 8 most intense peaks (2θ from 10° to 80°), most intense first:
2θ (°), I (rel.), (hkl)
14.12, 100, 0 0 3
36.40, 71, 0 2 4
32.31, 51, 2 0 2
31.21, 32, 0 2 1
28.46, 27, 0 0 6
49.93, 24, 2 0 8
54.83, 21, 2 2 0
46.04, 19, 0 2 7